Simulated XRD peak list
Compound: Ac2CrTcO8
Radiation: Cu Kα, 1.54184 Å
Structure: a crystal structure in Alexandria, relaxed with PBE+U
No peak broadening, texture or thermal motion is included.

Largest 10 diffraction maxima, sorted by position, 2θ from 10° to 90°:
21.43°, rel. 100, (1 1 1); 23.06°, rel. 89, (0 1 -1); 26.18°, rel. 56, (1 -1 0); 27.47°, rel. 75, (1 0 -1); 30.07°, rel. 56, (1 0 2); 32.06°, rel. 37, (0 1 2); 32.52°, rel. 44, (0 2 1); 33.22°, rel. 41, (1 2 0); 35.58°, rel. 31, (2 0 1); 41.60°, rel. 31, (1 -2 1)

Structure:
```
data_Ac2CrTcO8
_chemical_formula_sum 'Ac2 Cr1 Tc1 O8'
_space_group_name_H-M_alt 'P -1'
_space_group_IT_number 2
_space_group_name_Hall '-P 1'
_cell_length_a 5.220
_cell_length_b 6.011
_cell_length_c 6.373
_cell_angle_alpha 77.54
_cell_angle_beta 69.15
_cell_angle_gamma 76.11
loop_
_atom_site_label
_atom_site_type_symbol
_atom_site_fract_x
_atom_site_fract_y
_atom_site_fract_z
Ac1 Ac 0.127 0.179 0.152
Cr1 Cr 0.500 0.000 0.500
Tc1 Tc 0.500 0.500 0.500
O1 O 0.266 0.804 0.448
O2 O 0.269 0.474 0.806
O3 O 0.288 0.323 0.436
O4 O 0.303 0.963 0.832
```